No. 1
Structure and calculated powder diffraction line list of MgSc2Ru (a crystal structure in the Materials Project, relaxed with GGA-PBE; Cu Kα (weighted mean of Kα1 and Kα2)).

Peak list (12 most intense, 2θ = 10–90°, most intense first)
- 2θ 11.6, 7.639 Å, I = 100, hkl 0 0 1
- 2θ 36.2, 2.482 Å, I = 91, hkl 1 0 2
- 2θ 39.0, 2.309 Å, I = 43, hkl 1 1 0
- 2θ 45.2, 2.008 Å, I = 26, hkl 1 0 3
- 2θ 68.8, 1.364 Å, I = 25, hkl 2 1 2
- 2θ 40.8, 2.210 Å, I = 18, hkl 1 1 1
- 2θ 56.4, 1.633 Å, I = 14, hkl 2 0 0
- 2θ 75.0, 1.267 Å, I = 11, hkl 2 1 3
- 2θ 63.2, 1.472 Å, I = 10, hkl 1 1 4
- 2θ 29.8, 3.003 Å, I = 9, hkl 1 0 1
- 2θ 87.5, 1.115 Å, I = 9, hkl 2 0 5
- 2θ 74.5, 1.274 Å, I = 8, hkl 1 1 5

Atomic structure:
Unit cell a=3.2654 b=3.2654 c=7.6385 alpha=90.00 beta=90.00 gamma=90.00
Space group P4/mmm (No. 123)
One atom of each set of equivalent atoms:
Mg  0.0000  0.0000  0.0000 [1 per cell]
Sc  0.5000  0.5000  0.3004 [2 per cell]
Ru  0.0000  0.0000  0.5000 [1 per cell]



No. 2
Structure and calculated powder diffraction line list of Nd3Pu (a crystal structure in the Materials Project, relaxed with GGA-PBE; Cu Kα (weighted mean of Kα1 and Kα2)).

Peak list (12 most intense, 2θ = 10–90°, most intense first)
- 2θ 33.6, 2.668 Å, I = 100, hkl 1 0 2
- 2θ 30.8, 2.905 Å, I = 59, hkl 1 0 1
- 2θ 62.4, 1.489 Å, I = 39, hkl 1 1 4
- 2θ 30.6, 2.919 Å, I = 39, hkl 0 0 4
- 2θ 37.9, 2.376 Å, I = 38, hkl 1 0 3
- 2θ 52.9, 1.732 Å, I = 27, hkl 1 1 0
- 2θ 56.4, 1.632 Å, I = 20, hkl 1 0 6
- 2θ 49.5, 1.843 Å, I = 17, hkl 1 0 5
- 2θ 64.1, 1.453 Å, I = 16, hkl 2 0 2
- 2θ 87.4, 1.116 Å, I = 16, hkl 1 1 8
- 2θ 63.8, 1.458 Å, I = 15, hkl 0 0 8
- 2θ 87.7, 1.113 Å, I = 14, hkl 2 1 2

Atomic structure:
Unit cell a=3.4638 b=3.4638 c=11.6754 alpha=90.00 beta=90.00 gamma=120.00
Space group P-6m2 (No. 187)
One atom of each set of equivalent atoms:
Nd  0.0000  0.0000  0.0000 [1 per cell]
Nd  0.6667  0.3333  0.2639 [2 per cell]
Pu  0.3333  0.6667  0.5000 [1 per cell]



No. 3
Structure and calculated powder diffraction line list of ErCu3S3 (a crystal structure in the Materials Project, relaxed with GGA-PBE; Cu Kα (weighted mean of Kα1 and Kα2)).

Peak list (12 most intense, 2θ = 10–90°, most intense first)
- 2θ 30.3, 2.947 Å, I = 100, hkl 1 1 3
- 2θ 39.3, 2.292 Å, I = 73, hkl 2 -1 6
- 2θ 47.2, 1.924 Å, I = 55, hkl 3 0 0
- 2θ 16.1, 5.521 Å, I = 29, hkl 1 0 1
- 2θ 18.0, 4.929 Å, I = 21, hkl 0 1 2
- 2θ 65.7, 1.420 Å, I = 19, hkl 3 0 9
- 2θ 51.3, 1.780 Å, I = 18, hkl 1 1 9
- 2θ 63.1, 1.474 Å, I = 18, hkl 2 2 6
- 2θ 57.2, 1.611 Å, I = 16, hkl 4 -2 3
- 2θ 82.4, 1.170 Å, I = 15, hkl 5 -1 6
- 2θ 77.2, 1.235 Å, I = 13, hkl 4 1 3
- 2θ 43.0, 2.106 Å, I = 12, hkl 0 0 9

Atomic structure:
Unit cell a=6.6641 b=6.6641 c=18.9515 alpha=90.00 beta=90.00 gamma=120.00
Space group R-3 (No. 148, hexagonal axes)
One atom of each set of equivalent atoms:
Er  0.0000  0.0000  0.1665 [6 per cell]
Cu  0.0000  0.3371  0.3767 [18 per cell]
S  0.0002  0.3325  0.2494 [18 per cell]



No. 4
Structure and calculated powder diffraction line list of Dy2MgS4 (a crystal structure in the Materials Project, relaxed with GGA-PBE; Cu Kα (weighted mean of Kα1 and Kα2)).

Peak list (12 most intense, 2θ = 10–90°, most intense first)
- 2θ 38.2, 2.359 Å, I = 100, hkl 2 2 2
- 2θ 18.8, 4.717 Å, I = 96, hkl 1 1 1
- 2θ 27.2, 3.280 Å, I = 64, hkl 1 2 1
- 2θ 15.1, 5.878 Å, I = 60, hkl 1 0 1
- 2θ 24.0, 3.708 Å, I = 53, hkl 3 0 1
- 2θ 26.1, 3.412 Å, I = 52, hkl 2 2 0
- 2θ 26.6, 3.357 Å, I = 50, hkl 3 1 1
- 2θ 38.3, 2.348 Å, I = 43, hkl 4 0 2
- 2θ 46.4, 1.957 Å, I = 37, hkl 6 2 0
- 2θ 42.8, 2.111 Å, I = 27, hkl 5 2 1
- 2θ 26.4, 3.379 Å, I = 23, hkl 4 0 0
- 2θ 45.9, 1.977 Å, I = 23, hkl 0 4 0

Atomic structure:
Unit cell a=13.5163 b=7.9064 c=6.5276 alpha=90.00 beta=90.00 gamma=90.00
Space group Pnma (No. 62)
One atom of each set of equivalent atoms:
Dy  0.0000  0.0000  0.0000 [4 per cell]
Dy  0.2323  0.2500  0.4995 [4 per cell]
Mg  0.0933  0.7500  0.4224 [4 per cell]
S  0.0706  0.2500  0.7477 [4 per cell]
S  0.0917  0.7500  0.7897 [4 per cell]
S  0.1687  0.5093  0.2412 [8 per cell]



No. 5
Structure and calculated powder diffraction line list of Li3Ce5Ge4 (a crystal structure in the Materials Project, relaxed with GGA-PBE; Cu Kα (weighted mean of Kα1 and Kα2)).

Peak list (12 most intense, 2θ = 10–90°, most intense first)
- 2θ 32.9, 2.720 Å, I = 100, hkl 1 1 5
- 2θ 34.9, 2.572 Å, I = 76, hkl 2 1 1
- 2θ 16.6, 5.341 Å, I = 45, hkl 1 0 2
- 2θ 37.0, 2.429 Å, I = 41, hkl 0 1 7
- 2θ 39.5, 2.280 Å, I = 32, hkl 0 2 0
- 2θ 22.6, 3.929 Å, I = 29, hkl 1 0 4
- 2θ 71.5, 1.320 Å, I = 19, hkl 1 2 12
- 2θ 56.9, 1.618 Å, I = 19, hkl 1 0 12
- 2θ 28.3, 3.153 Å, I = 16, hkl 2 0 0
- 2θ 46.9, 1.939 Å, I = 15, hkl 3 0 4
- 2θ 62.9, 1.477 Å, I = 14, hkl 3 2 4
- 2θ 20.0, 4.448 Å, I = 13, hkl 0 1 1

Atomic structure:
Unit cell a=6.3056 b=4.5609 c=20.0915 alpha=90.00 beta=90.00 gamma=90.00
Space group Amm2 (No. 38)
One atom of each set of equivalent atoms:
Li  0.0000  0.0000  0.0000 [2 per cell]
Li  0.0000  0.0000  0.4272 [2 per cell]
Li  0.5000  0.0000  0.1103 [2 per cell]
Ce  0.0000  0.0000  0.6224 [2 per cell]
Ce  0.0000  0.0000  0.7989 [2 per cell]
Ce  0.5000  0.0000  0.4972 [2 per cell]
Ce  0.5000  0.0000  0.7386 [2 per cell]
Ce  0.5000  0.0000  0.9154 [2 per cell]
Ge  0.2021  0.0000  0.1999 [4 per cell]
Ge  0.2937  0.0000  0.3374 [4 per cell]